Record 1
For UCo, a structure optimized by DFT (PBE) gives the calculated X-ray diffraction stick pattern in this record (CuKα).

Crystal structure
abc: 6.3037 6.3037 6.3037
angles: 90.00 90.00 90.00
Space group I2_13 (No. 199)
Inequivalent atoms, fractional coordinates:
U: 0.2153 0.2153 0.2153
Co: 0.0473 0.4527 0.5473

Top 6 peaks for 10° ≤ 2θ ≤ 90°, in order of rising 2θ:
(2 0 0), 2θ 28.3, I 57; (2 1 1), 2θ 34.9, I 24; (2 2 0), 2θ 40.5, I 100; (3 0 1), 2θ 45.5, I 39; (3 2 1), 2θ 54.5, I 26; (5 0 1), 2θ 77.2, I 29


Record 2
For UCo5, a structure optimized by DFT (PBE) gives the calculated X-ray diffraction stick pattern in this record (CuKα).

Crystal structure
abc: 4.7596 4.7596 35.8090
angles: 90.00 90.00 120.00
Space group R-3m (No. 166, hexagonal axes)
Inequivalent atoms, fractional coordinates:
U: 0.0000 0.0000 0.0000
U: 0.0000 0.0000 0.0996
Co: 0.0000 0.0000 0.2214
Co: 0.0000 0.0000 0.3325
Co: 0.0000 0.0000 0.4642
Co: 0.0000 0.5000 0.5000
Co: 0.0057 0.5029 0.0570

Top 6 peaks for 10° ≤ 2θ ≤ 90°, in order of rising 2θ:
(1 0 1), 2θ 21.7, I 37; (1 0 10), 2θ 33.1, I 38; (0 1 11), 2θ 35.1, I 36; (1 1 0), 2θ 37.8, I 52; (2 0 2), 2θ 44.2, I 26; (1 1 9), 2θ 44.4, I 100